(1)
Diffraction record for Hf4Te. The powder diffraction line list is calculated, not measured: it uses a DFT-relaxed cell (PBE, Alexandria) and Cu Kα.

Most intense lines, 2θ = 5–70°, most intense first:
35.36 deg, I = 100.0, (2 0 2)
40.42 deg, I = 84.4, (3 2 1)
32.91 deg, I = 80.8, (3 1 0)
34.36 deg, I = 79.1, (3 0 1)
32.05 deg, I = 57.6, (1 1 2)
44.01 deg, I = 38.3, (3 1 2)
55.33 deg, I = 36.9, (4 3 1)
69.00 deg, I = 35.2, (6 2 0)

Cell and atoms:
```
data_Hf4Te
_chemical_formula_sum 'Hf16 Te4'
_symmetry_space_group_name_H-M 'I -4 2 d'
_symmetry_Int_Tables_number 122
_symmetry_space_group_name_Hall 'I -4 2bw'
_cell_length_a 8.607
_cell_length_b 8.607
_cell_length_c 6.287
_cell_angle_alpha 90.00
_cell_angle_beta 90.00
_cell_angle_gamma 90.00
loop_
_atom_site_label
_atom_site_fract_x
_atom_site_fract_y
_atom_site_fract_z
Hf1 0.072 0.690 0.373
Te1 0.000 0.000 0.500
```


(2)
Diffraction record for SmMgZn2Au5. The powder diffraction line list is calculated, not measured: it uses a DFT-relaxed cell (PBE, Alexandria) and Cu Kα.

Most intense lines, 2θ = 5–70°, most intense first:
34.86 deg, I = 100.0, (1 1 2)
37.21 deg, I = 57.7, (2 0 0)
65.58 deg, I = 33.6, (3 1 2)
53.64 deg, I = 20.2, (2 2 0)
60.94 deg, I = 18.3, (2 0 4)
11.31 deg, I = 16.9, (0 0 1)
22.73 deg, I = 12.6, (0 0 2)
43.66 deg, I = 10.4, (1 1 3)

Cell and atoms:
```
data_SmMgZn2Au5
_chemical_formula_sum 'Sm1 Mg1 Zn2 Au5'
_symmetry_space_group_name_H-M 'P 4/m m m'
_symmetry_Int_Tables_number 123
_symmetry_space_group_name_Hall '-P 4 2'
_cell_length_a 4.833
_cell_length_b 4.833
_cell_length_c 7.824
_cell_angle_alpha 90.00
_cell_angle_beta 90.00
_cell_angle_gamma 90.00
loop_
_atom_site_label
_atom_site_fract_x
_atom_site_fract_y
_atom_site_fract_z
Sm1 0.000 0.000 0.000
Mg1 0.000 0.000 0.500
Zn1 0.500 0.500 0.347
Au1 0.000 0.500 0.248
Au2 0.500 0.500 0.000
```


(3)
Diffraction record for Pm4Sm2Ho5. The powder diffraction line list is calculated, not measured: it uses a DFT-relaxed cell (PBE, Alexandria) and Cu Kα.

Most intense lines, 2θ = 5–70°, most intense first:
30.54 deg, I = 100.0, (8 0 -1)
30.78 deg, I = 96.4, (2 0 -3)
30.32 deg, I = 85.2, (3 1 1)
32.23 deg, I = 82.4, (6 0 2)
36.83 deg, I = 51.0, (5 1 -2)
56.27 deg, I = 31.0, (14 0 1)
62.09 deg, I = 26.7, (8 2 -1)
62.23 deg, I = 26.0, (2 2 -3)

Cell and atoms:
```
data_Pm4Sm2Ho5
_chemical_formula_sum 'Pm8 Sm4 Ho10'
_symmetry_space_group_name_H-M 'C 1 2/m 1'
_symmetry_Int_Tables_number 12
_cell_length_a 24.003
_cell_length_b 3.477
_cell_length_c 8.784
_cell_angle_alpha 90.00
_cell_angle_beta 96.80
_cell_angle_gamma 90.00
loop_
_symmetry_equiv_pos_as_xyz
'x,y,z'
'-x,-y,-z'
'-x,y,-z'
'x,-y,z'
'x+1/2,y+1/2,z'
'-x+1/2,-y+1/2,-z'
'-x+1/2,y+1/2,-z'
'x+1/2,-y+1/2,z'
loop_
_atom_site_label
_atom_site_fract_x
_atom_site_fract_y
_atom_site_fract_z
Pm1 0.046 0.000 0.358
Pm2 0.179 0.500 0.471
Sm1 0.090 0.000 0.740
Ho1 0.000 0.500 0.000
Ho2 0.142 0.000 0.116
Ho3 0.232 0.000 0.828
```


(4)
Diffraction record for Er12Mg2Al5. The powder diffraction line list is calculated, not measured: it uses a DFT-relaxed cell (PBE, Alexandria) and Cu Kα.

Most intense lines, 2θ = 5–70°, most intense first:
33.94 deg, I = 100.0, (4 2 -1)
35.41 deg, I = 83.0, (2 2 2)
29.72 deg, I = 76.3, (1 3 1)
30.42 deg, I = 52.1, (4 0 0)
34.21 deg, I = 45.3, (1 1 -3)
27.96 deg, I = 44.2, (1 3 -1)
33.43 deg, I = 44.1, (2 0 -3)
29.00 deg, I = 41.7, (2 2 -2)

Cell and atoms:
```
data_Er12Mg2Al5
_chemical_formula_sum 'Er24 Mg4 Al10'
_symmetry_space_group_name_H-M 'C 1 2/m 1'
_symmetry_Int_Tables_number 12
_cell_length_a 12.271
_cell_length_b 10.556
_cell_length_c 8.146
_cell_angle_alpha 90.00
_cell_angle_beta 106.69
_cell_angle_gamma 90.00
loop_
_symmetry_equiv_pos_as_xyz
'x,y,z'
'-x,-y,-z'
'-x,y,-z'
'x,-y,z'
'x+1/2,y+1/2,z'
'-x+1/2,-y+1/2,-z'
'-x+1/2,y+1/2,-z'
'x+1/2,-y+1/2,z'
loop_
_atom_site_label
_atom_site_fract_x
_atom_site_fract_y
_atom_site_fract_z
Er1 0.099 0.000 0.175
Er2 0.110 0.269 0.407
Er3 0.110 0.500 0.734
Er4 0.174 0.157 0.822
Mg1 0.000 0.282 0.000
Al1 0.000 0.000 0.500
Al2 0.111 0.500 0.150
Al3 0.234 0.000 0.540
```


(5)
Diffraction record for Ac3SnI3. The powder diffraction line list is calculated, not measured: it uses a DFT-relaxed cell (PBE, Alexandria) and Cu Kα.

Most intense lines, 2θ = 5–70°, most intense first:
26.46 deg, I = 100.0, (4 0 0)
37.76 deg, I = 76.9, (4 4 0)
61.55 deg, I = 34.6, (8 4 0)
46.70 deg, I = 27.5, (4 4 4)
68.18 deg, I = 24.9, (8 4 4)
9.28 deg, I = 24.0, (1 1 0)
24.72 deg, I = 15.7, (3 2 1)
54.47 deg, I = 12.8, (8 0 0)

Cell and atoms:
```
data_Ac3SnI3
_chemical_formula_sum 'Ac24 Sn8 I24'
_symmetry_space_group_name_H-M 'I 41 3 2'
_symmetry_Int_Tables_number 214
_symmetry_space_group_name_Hall 'I 4bd 2c 3'
_cell_length_a 13.476
_cell_length_b 13.476
_cell_length_c 13.476
_cell_angle_alpha 90.00
_cell_angle_beta 90.00
_cell_angle_gamma 90.00
loop_
_atom_site_label
_atom_site_fract_x
_atom_site_fract_y
_atom_site_fract_z
Ac1 0.115 0.365 0.125
Sn1 0.125 0.125 0.125
I1 0.119 0.131 0.625
```


(6)
Diffraction record for TbSi2Ni4. The powder diffraction line list is calculated, not measured: it uses a DFT-relaxed cell (PBE, Alexandria) and Cu Kα.

Most intense lines, 2θ = 5–70°, most intense first:
39.00 deg, I = 100.0, (2 1 2)
39.11 deg, I = 68.8, (5 1 1)
45.92 deg, I = 38.6, (0 2 0)
42.21 deg, I = 36.7, (7 0 1)
40.81 deg, I = 35.6, (6 1 0)
27.47 deg, I = 25.9, (1 1 1)
37.10 deg, I = 22.9, (4 0 2)
47.94 deg, I = 22.6, (3 0 3)

Cell and atoms:
```
data_TbSi2Ni4
_chemical_formula_sum 'Tb4 Si8 Ni16'
_symmetry_space_group_name_H-M 'P n m a'
_symmetry_Int_Tables_number 62
_cell_length_a 16.009
_cell_length_b 3.952
_cell_length_c 6.090
_cell_angle_alpha 90.00
_cell_angle_beta 90.00
_cell_angle_gamma 90.00
loop_
_symmetry_equiv_pos_as_xyz
'x,y,z'
'-x,-y,-z'
'-x+1/2,-y,z+1/2'
'x+1/2,y,-z+1/2'
'x+1/2,-y+1/2,-z+1/2'
'-x+1/2,y+1/2,z+1/2'
'-x,y+1/2,-z'
'x,-y+1/2,z'
loop_
_atom_site_label
_atom_site_fract_x
_atom_site_fract_y
_atom_site_fract_z
Tb1 0.140 0.250 0.004
Si1 0.040 0.750 0.262
Si2 0.217 0.250 0.523
Ni1 0.025 0.750 0.854
Ni2 0.072 0.250 0.492
Ni3 0.188 0.750 0.319
Ni4 0.199 0.750 0.719
```


(7)
Diffraction record for Pm4Nd3Er4. The powder diffraction line list is calculated, not measured: it uses a DFT-relaxed cell (PBE, Alexandria) and Cu Kα.

Most intense lines, 2θ = 5–70°, most intense first:
31.84 deg, I = 100.0, (2 1 3)
31.15 deg, I = 37.8, (0 2 0)
30.33 deg, I = 29.9, (3 1 1)
55.86 deg, I = 20.4, (2 3 3)
30.74 deg, I = 15.8, (1 0 4)
33.37 deg, I = 15.4, (4 0 0)
61.80 deg, I = 13.4, (3 1 7)
46.29 deg, I = 12.4, (4 2 0)

Cell and atoms:
```
data_Pm4Nd3Er4
_chemical_formula_sum 'Pm8 Nd6 Er8'
_symmetry_space_group_name_H-M 'A m m 2'
_symmetry_Int_Tables_number 38
_cell_length_a 10.741
_cell_length_b 5.743
_cell_length_c 12.086
_cell_angle_alpha 90.00
_cell_angle_beta 90.00
_cell_angle_gamma 90.00
loop_
_symmetry_equiv_pos_as_xyz
'x,y,z'
'-x,-y,z'
'-x,y,z'
'x,-y,z'
'x,y+1/2,z+1/2'
'-x,-y+1/2,z+1/2'
'-x,y+1/2,z+1/2'
'x,-y+1/2,z+1/2'
loop_
_atom_site_label
_atom_site_fract_x
_atom_site_fract_y
_atom_site_fract_z
Pm1 0.000 0.000 0.000
Pm2 0.212 0.000 0.793
Pm3 0.500 0.000 0.925
Nd1 0.000 0.000 0.294
Nd2 0.291 0.000 0.450
Er1 0.000 0.000 0.596
Er2 0.302 0.000 0.145
Er3 0.500 0.000 0.652
```


(8)
Diffraction record for Ce2ZnN2O2. The powder diffraction line list is calculated, not measured: it uses a DFT-relaxed cell (PBE, Alexandria) and Cu Kα.

Most intense lines, 2θ = 5–70°, most intense first:
28.69 deg, I = 100.0, (1 0 1)
33.35 deg, I = 50.2, (0 1 2)
47.66 deg, I = 30.7, (1 1 0)
9.59 deg, I = 27.3, (0 0 1)
29.03 deg, I = 25.5, (0 0 3)
48.11 deg, I = 25.4, (1 0 4)
56.78 deg, I = 23.6, (1 1 3)
57.17 deg, I = 15.7, (0 1 5)

Cell and atoms:
```
data_Ce2ZnN2O2
_chemical_formula_sum 'Ce2 Zn1 N2 O2'
_symmetry_space_group_name_H-M 'P -3 m 1'
_symmetry_Int_Tables_number 164
_symmetry_space_group_name_Hall '-P 3 2"'
_cell_length_a 3.8162
_cell_length_b 3.8162
_cell_length_c 9.2262
_cell_angle_alpha 90.00
_cell_angle_beta 90.00
_cell_angle_gamma 120.00
loop_
_atom_site_label
_atom_site_fract_x
_atom_site_fract_y
_atom_site_fract_z
Ce1 0.3333 0.6667 0.1589
Zn1 0.0000 0.0000 0.5000
N1 0.3333 0.6667 0.9084
O1 0.0000 0.0000 0.3078
```